PuCdIrAu: calculated powder X-ray diffraction pattern (Cu Kα), based on a cell relaxed with GGA-PBE.

Largest 8 diffraction maxima, in order of falling intensity, 2θ = 15–90°:
2θ (°)	I_rel	h k l
37.0	100	2 2 0
66.7	36	4 2 2
53.3	18	4 0 0
78.8	11	4 4 0
22.4	6	1 1 1
43.7	3	3 1 1
58.5	2	3 3 1
83.1	1	5 3 1

Structure:
abc: 6.8736 6.8736 6.8736
angles: 90.00 90.00 90.00
Sites, in units of the cell vectors:
Pu 0.0000 0.0000 0.0000
Pu 0.0000 0.5000 0.5000
Pu 0.5000 0.0000 0.5000
Pu 0.5000 0.5000 0.0000
Cd 0.0000 0.0000 0.5000
Cd 0.0000 0.5000 0.0000
Cd 0.5000 0.0000 0.0000
Cd 0.5000 0.5000 0.5000
Ir 0.2500 0.2500 0.2500
Ir 0.2500 0.7500 0.7500
Ir 0.7500 0.2500 0.7500
Ir 0.7500 0.7500 0.2500
Au 0.2500 0.2500 0.7500
Au 0.2500 0.7500 0.2500
Au 0.7500 0.2500 0.2500
Au 0.7500 0.7500 0.7500



Ce4Tl: calculated powder X-ray diffraction pattern (Cu Kα), based on a cell relaxed with GGA-PBE.

Largest 8 diffraction maxima, in order of falling intensity, 2θ = 15–90°:
2θ (°)	I_rel	h k l
34.8	100	0 2 0
33.3	84	0 1 5
32.7	46	1 0 3
48.5	31	1 2 3
57.8	22	1 1 8
68.1	21	2 1 5
61.4	14	0 3 5
68.9	12	2 2 0

Structure:
abc: 3.2080 5.1630 15.7516
angles: 90.00 90.00 90.00
Sites, in units of the cell vectors:
Ce 0.0000 0.0000 0.1043
Ce 0.0000 0.0000 0.8957
Ce 0.0000 0.5000 0.1954
Ce 0.0000 0.5000 0.8046
Ce 0.5000 0.0000 0.3046
Ce 0.5000 0.0000 0.6954
Ce 0.5000 0.5000 0.3957
Ce 0.5000 0.5000 0.6043
Tl 0.0000 0.0000 0.5000
Tl 0.5000 0.5000 0.0000



SrSmBiPb: calculated powder X-ray diffraction pattern (Cu Kα), based on a cell relaxed with GGA-PBE.

Largest 8 diffraction maxima, in order of falling intensity, 2θ = 15–90°:
2θ (°)	I_rel	h k l
31.3	100	2 2 0
55.8	40	4 2 2
44.9	19	4 0 0
74.3	17	6 2 0
65.4	12	4 4 0
22.0	8	2 0 0
82.8	4	4 4 4
50.5	4	4 2 0

Structure:
abc: 8.0758 8.0758 8.0758
angles: 90.00 90.00 90.00
Sites, in units of the cell vectors:
Sr 0.0000 0.0000 0.0000
Sr 0.0000 0.5000 0.5000
Sr 0.5000 0.0000 0.5000
Sr 0.5000 0.5000 0.0000
Sm 0.0000 0.0000 0.5000
Sm 0.0000 0.5000 0.0000
Sm 0.5000 0.0000 0.0000
Sm 0.5000 0.5000 0.5000
Bi 0.2500 0.2500 0.7500
Bi 0.2500 0.7500 0.2500
Bi 0.7500 0.2500 0.2500
Bi 0.7500 0.7500 0.7500
Pb 0.2500 0.2500 0.2500
Pb 0.2500 0.7500 0.7500
Pb 0.7500 0.2500 0.7500
Pb 0.7500 0.7500 0.2500



YMg2In3: calculated powder X-ray diffraction pattern (Cu Kα), based on a cell relaxed with GGA-PBE.

Largest 8 diffraction maxima, in order of falling intensity, 2θ = 15–90°:
2θ (°)	I_rel	h k l
33.9	100	1 3 1
38.5	17	0 6 0
19.8	17	0 0 1
39.4	17	2 0 0
27.3	16	1 3 0
40.3	16	0 0 2
66.7	13	1 9 1
67.9	13	3 3 1

Structure:
abc: 4.5764 14.0294 4.4798
angles: 90.00 90.00 90.00
Sites, in units of the cell vectors:
Y 0.0000 0.0000 0.0000
Y 0.5000 0.5000 0.0000
Mg 0.0000 0.3280 0.0000
Mg 0.0000 0.6720 0.0000
Mg 0.5000 0.1720 0.0000
Mg 0.5000 0.8280 0.0000
In 0.0000 0.1704 0.5000
In 0.0000 0.5000 0.5000
In 0.0000 0.8296 0.5000
In 0.5000 0.0000 0.5000
In 0.5000 0.3296 0.5000
In 0.5000 0.6704 0.5000